Entry 1:
Diffraction record for HgSe2I. The X-ray powder pattern is calculated, not measured: it uses DFT lattice parameters and positions (GGA-PBE) and Cu Kα X-rays.
Lines closer than 0.1° are merged.

Most intense lines, 10° ≤ 2θ ≤ 90°, by angle:
11.19°, rel. 100
21.09°, rel. 58
21.66°, rel. 66
27.41°, rel. 99
32.71°, rel. 50
44.30°, rel. 44

Structure:
```
data_HgSe2I
_chemical_formula_sum 'Hg2 Se4 I2'
_cell_length_a 7.019
_cell_length_b 5.469
_cell_length_c 8.401
_cell_angle_alpha 90.00
_cell_angle_beta 109.70
_cell_angle_gamma 90.00
_symmetry_space_group_name_H-M 'P 1'
_symmetry_Int_Tables_number 1
_symmetry_space_group_name_Hall 'P 1'
loop_
_atom_site_label
_atom_site_fract_x
_atom_site_fract_y
_atom_site_fract_z
Hg1 0.000 0.000 0.000
Hg2 0.500 0.329 0.000
Se1 0.335 0.366 0.408
Se2 0.363 0.054 0.209
Se3 0.637 0.054 0.791
Se4 0.665 0.366 0.592
I1 0.171 0.621 0.789
I2 0.829 0.621 0.211
```


Entry 2:
Diffraction record for Zn2SnWN4. The X-ray powder pattern is calculated, not measured: it uses DFT lattice parameters and positions (GGA-PBE) and Cu Kα X-rays.
Lines closer than 0.1° are merged.

Most intense lines, 10° ≤ 2θ ≤ 90°, by angle:
20.21°, rel. 34
31.46°, rel. 100
32.87°, rel. 93
35.26°, rel. 60
55.31°, rel. 46
60.06°, rel. 32

Structure:
```
data_Zn2SnWN4
_chemical_formula_sum 'Zn2 Sn1 W1 N4'
_cell_length_a 5.760
_cell_length_b 5.596
_cell_length_c 5.104
_cell_angle_alpha 64.94
_cell_angle_beta 61.67
_cell_angle_gamma 53.39
_symmetry_space_group_name_H-M 'P 1'
_symmetry_Int_Tables_number 1
_symmetry_space_group_name_Hall 'P 1'
loop_
_atom_site_label
_atom_site_fract_x
_atom_site_fract_y
_atom_site_fract_z
Zn1 0.000 0.000 0.500
Zn2 0.500 0.500 0.000
Sn1 0.269 0.269 0.731
W1 0.745 0.745 0.255
N1 0.074 0.675 0.325
N2 0.394 0.842 0.606
N3 0.675 0.074 0.926
N4 0.842 0.394 0.158
```


Entry 3:
Diffraction record for Tm2Ga4IrPt3. The X-ray powder pattern is calculated, not measured: it uses DFT lattice parameters and positions (GGA-PBE) and Cu Kα X-rays.
Lines closer than 0.1° are merged.

Most intense lines, 10° ≤ 2θ ≤ 90°, by angle:
32.92°, rel. 49
35.05°, rel. 100
44.17°, rel. 56
45.68°, rel. 26
47.20°, rel. 31
56.17°, rel. 23

Structure:
```
data_Tm2Ga4IrPt3
_chemical_formula_sum 'Tm2 Ga4 Ir1 Pt3'
_cell_length_a 4.101
_cell_length_b 4.101
_cell_length_c 10.904
_cell_angle_alpha 90.00
_cell_angle_beta 90.00
_cell_angle_gamma 90.00
_symmetry_space_group_name_H-M 'P 1'
_symmetry_Int_Tables_number 1
_symmetry_space_group_name_Hall 'P 1'
loop_
_atom_site_label
_atom_site_fract_x
_atom_site_fract_y
_atom_site_fract_z
Tm1 0.000 0.500 0.238
Tm2 0.500 0.000 0.762
Ga1 0.000 0.000 0.500
Ga2 0.000 0.500 0.868
Ga3 0.500 0.000 0.132
Ga4 0.500 0.500 0.500
Ir1 0.500 0.500 0.000
Pt1 0.000 0.000 0.000
Pt2 0.000 0.500 0.642
Pt3 0.500 0.000 0.358
```


Entry 4:
Diffraction record for PrSm2Y3Se6. The X-ray powder pattern is calculated, not measured: it uses DFT lattice parameters and positions (GGA-PBE) and Cu Kα X-rays.
Lines closer than 0.1° are merged.

Most intense lines, 10° ≤ 2θ ≤ 90°, by angle:
30.50°, rel. 100
43.44°, rel. 25
43.57°, rel. 12
43.74°, rel. 12
43.94°, rel. 24
54.28°, rel. 13

Structure:
```
data_PrSm2Y3Se6
_chemical_formula_sum 'Pr1 Sm2 Y3 Se6'
_cell_length_a 7.158
_cell_length_b 7.158
_cell_length_c 7.232
_cell_angle_alpha 99.47
_cell_angle_beta 99.47
_cell_angle_gamma 120.28
_symmetry_space_group_name_H-M 'P 1'
_symmetry_Int_Tables_number 1
_symmetry_space_group_name_Hall 'P 1'
loop_
_atom_site_label
_atom_site_fract_x
_atom_site_fract_y
_atom_site_fract_z
Pr1 0.000 0.000 0.000
Sm1 0.334 0.666 0.000
Sm2 0.666 0.334 0.000
Y1 0.164 0.836 0.500
Y2 0.500 0.500 0.500
Y3 0.836 0.164 0.500
Se1 0.087 0.426 0.261
Se2 0.252 0.252 0.741
Se3 0.426 0.087 0.261
Se4 0.574 0.913 0.739
Se5 0.748 0.748 0.259
Se6 0.913 0.574 0.739
```


Entry 5:
Diffraction record for Mg2BP2O10. The X-ray powder pattern is calculated, not measured: it uses DFT lattice parameters and positions (GGA-PBE) and Cu Kα X-rays.
Lines closer than 0.1° are merged.

Most intense lines, 10° ≤ 2θ ≤ 90°, by angle:
10.65°, rel. 44
18.13°, rel. 46
21.40°, rel. 51
28.85°, rel. 100
30.66°, rel. 75
32.34°, rel. 61

Structure:
```
data_Mg2BP2O10
_chemical_formula_sum 'Mg4 B2 P4 O20'
_cell_length_a 6.535
_cell_length_b 6.535
_cell_length_c 8.382
_cell_angle_alpha 95.85
_cell_angle_beta 95.85
_cell_angle_gamma 81.43
_symmetry_space_group_name_H-M 'P 1'
_symmetry_Int_Tables_number 1
_symmetry_space_group_name_Hall 'P 1'
loop_
_atom_site_label
_atom_site_fract_x
_atom_site_fract_y
_atom_site_fract_z
Mg1 0.156 0.156 0.333
Mg2 0.463 0.216 0.656
Mg3 0.784 0.537 0.344
Mg4 0.844 0.844 0.667
B1 0.184 0.354 0.974
B2 0.646 0.816 0.026
P1 0.245 0.614 0.253
P2 0.386 0.755 0.747
P3 0.674 0.051 0.325
P4 0.949 0.326 0.675
O1 0.009 0.397 0.855
O2 0.103 0.486 0.326
O3 0.144 0.224 0.590
O4 0.154 0.819 0.717
O5 0.161 0.199 0.079
O6 0.181 0.846 0.283
O7 0.221 0.553 0.065
O8 0.372 0.258 0.905
O9 0.442 0.527 0.688
O10 0.447 0.779 0.935
O11 0.473 0.558 0.312
O12 0.475 0.151 0.404
O13 0.514 0.897 0.674
O14 0.603 0.991 0.145
O15 0.742 0.628 0.095
O16 0.776 0.856 0.410
O17 0.791 0.172 0.676
O18 0.801 0.839 0.921
O19 0.828 0.209 0.324
O20 0.849 0.525 0.596
```